For Cd4GaHg6, DFT lattice parameters and positions (GGA-PBE) gives the simulated powder diffractogram in this record (Cu Kα (λ = 1.5418 Å)).
Neutral-atom scattering factors, no anomalous dispersion.

Structural model:
```
data_Cd4GaHg6
_cell_length_a 8.625
_cell_length_b 8.647
_cell_length_c 14.980
_cell_angle_alpha 90.00
_cell_angle_beta 90.00
_cell_angle_gamma 90.00
_space_group_name_H-M_alt 'F m m 2'
_space_group_IT_number 42
_space_group_name_Hall 'F 2 -2'
loop_
_atom_site_label
_atom_site_fract_x
_atom_site_fract_y
_atom_site_fract_z
Cd1 0.000 0.190 0.000
Cd2 0.188 0.000 0.784
Ga1 0.000 0.000 0.619
Hg1 0.000 0.190 0.307
Hg2 0.210 0.000 0.470
Hg3 0.250 0.250 0.143
```

Largest 10 diffraction maxima, in order of rising 2θ, 2θ = 5–70°:
- 2θ = 23.78°, I 37.9, hkl 0 2 2
- 2θ = 31.64°, I 100.0, hkl 2 2 2
- 2θ = 33.33°, I 26.2, hkl 1 3 1
- 2θ = 35.97°, I 34.6, hkl 0 0 6
- 2θ = 37.54°, I 54.2, hkl 3 1 3
- 2θ = 38.02°, I 57.2, hkl 2 2 4
- 2θ = 41.79°, I 20.7, hkl 0 4 0
- 2θ = 47.04°, I 17.9, hkl 2 4 0
- 2θ = 56.34°, I 21.0, hkl 4 0 6
- 2θ = 65.72°, I 18.4, hkl 3 5 3